MoH2Cl4: theoretical powder X-ray diffraction pattern (a wavelength of 1.5418 Å), based on a DFT-relaxed cell (PBE, Alexandria).
Peak positions follow from Bragg's law for the DFT cell and can differ from measured ones.

Peak list (10 most intense, 2θ from 10° to 80°, sorted by position)
d (Å)  2theta  intensity
7.352  12.0  100.0
6.840  12.9  63.3
5.490  16.1  61.4
4.634  19.2  45.4
3.492  25.5  45.6
3.322  26.8  63.2
2.989  29.9  39.3
2.775  32.3  37.7
2.619  34.2  26.6
2.031  44.6  21.9

Cell and atoms:
```
MoH2Cl4
1.0
3.6948 0.0000 0.0000
0.8471 6.9389 0.0000
0.2000 1.2559 7.3518
Mo H Cl
1 2 4
Direct
0.0000 0.0000 0.0000 Mo
0.2301 0.5138 0.7549 H
0.7699 0.4862 0.2451 H
0.0195 0.3385 0.2848 Cl
0.4736 0.1615 0.8073 Cl
0.5264 0.8385 0.1927 Cl
0.9805 0.6615 0.7152 Cl
```